Simulated powder diffractogram
Compound: Mo2Pd3Pt4
Radiation: a wavelength of 1.5418 Å
Structure: a crystal structure in Alexandria, relaxed with GGA-PBE
Kinematic intensities with the Lorentz-polarization factor, no thermal factor.

Top 10 peaks for 2θ = 10–90°, by intensity:
2θ = 39.57°, 2.277 Å, rel. 100
2θ = 45.94°, 1.975 Å, rel. 33
2θ = 67.16°, 1.394 Å, rel. 26
2θ = 46.17°, 1.966 Å, rel. 16
2θ = 81.03°, 1.187 Å, rel. 13
2θ = 80.70°, 1.191 Å, rel. 12
2θ = 80.56°, 1.192 Å, rel. 6
2θ = 80.84°, 1.189 Å, rel. 6
2θ = 85.12°, 1.140 Å, rel. 6
2θ = 66.89°, 1.399 Å, rel. 6

Structural model:
```
Mo2Pd3Pt4
1.0
4.4201 -1.9662 0.0000
4.4201 1.9662 0.0000
-2.6271 0.0000 7.9457
Mo Pd Pt
2 3 4
Cartesian
0.9024 0.0000 1.8098 Mo
5.3107 0.0000 6.1359 Mo
0.0473 0.0000 4.4329 Pd
4.4201 0.0000 0.0000 Pd
6.1659 0.0000 3.5128 Pd
-0.8636 0.0000 7.0857 Pt
2.6443 0.0000 5.3514 Pt
3.5689 0.0000 2.5942 Pt
7.0768 0.0000 0.8600 Pt
```


Simulated powder diffractogram
Compound: MoPd2Pt4
Radiation: a wavelength of 1.5418 Å
Structure: a crystal structure in Alexandria, relaxed with GGA-PBE
Kinematic intensities with the Lorentz-polarization factor, no thermal factor.

Top 10 peaks for 2θ = 10–90°, by intensity:
2θ = 40.05°, 2.252 Å, rel. 100
2θ = 40.88°, 2.208 Å, rel. 84
2θ = 44.54°, 2.034 Å, rel. 53
2θ = 80.12°, 1.198 Å, rel. 37
2θ = 45.36°, 1.999 Å, rel. 34
2θ = 65.46°, 1.426 Å, rel. 34
2θ = 82.75°, 1.166 Å, rel. 22
2θ = 16.74°, 5.296 Å, rel. 21
2θ = 27.96°, 3.191 Å, rel. 21
2θ = 33.87°, 2.647 Å, rel. 18

Structural model:
```
MoPd2Pt4
1.0
1.3737 -10.5913 0.0000
1.3737 10.5913 0.0000
0.0000 0.0000 3.9984
Mo Pd Pt
1 2 4
Cartesian
0.0000 0.0000 0.0000 Mo
1.3737 4.1413 1.9992 Pd
1.3737 -4.1413 1.9992 Pd
1.3737 7.8183 0.0000 Pt
1.3737 1.3461 1.9992 Pt
1.3737 -1.3461 1.9992 Pt
1.3737 -7.8183 0.0000 Pt
```


Simulated powder diffractogram
Compound: ReMoPd6
Radiation: a wavelength of 1.5418 Å
Structure: a crystal structure in Alexandria, relaxed with GGA-PBE
Kinematic intensities with the Lorentz-polarization factor, no thermal factor.

Top 10 peaks for 2θ = 10–90°, by intensity:
2θ = 42.57°, 2.124 Å, rel. 100
2θ = 42.00°, 2.151 Å, rel. 57
2θ = 40.46°, 2.230 Å, rel. 40
2θ = 37.23°, 2.415 Å, rel. 28
2θ = 80.62°, 1.192 Å, rel. 21
2θ = 75.03°, 1.266 Å, rel. 18
2θ = 66.30°, 1.410 Å, rel. 18
2θ = 56.14°, 1.638 Å, rel. 17
2θ = 82.81°, 1.166 Å, rel. 16
2θ = 36.59°, 2.456 Å, rel. 11

Structural model:
```
ReMoPd6
1.0
4.4594 0.0000 0.0000
0.0000 2.7739 4.9113
0.0000 -2.7739 4.9113
Re Mo Pd
1 1 6
Cartesian
0.0000 0.0000 0.0000 Re
2.2297 0.0000 8.2534 Mo
0.0000 0.0000 4.8999 Pd
0.0000 -1.3786 7.3593 Pd
0.0000 1.3786 7.3593 Pd
2.2297 -1.3987 5.7596 Pd
2.2297 0.0000 3.3111 Pd
2.2297 1.3987 5.7596 Pd
```


Simulated powder diffractogram
Compound: Mo4Pd2S
Radiation: a wavelength of 1.5418 Å
Structure: a crystal structure in Alexandria, relaxed with GGA-PBE
Kinematic intensities with the Lorentz-polarization factor, no thermal factor.

Top 10 peaks for 2θ = 10–90°, by intensity:
2θ = 40.37°, 2.234 Å, rel. 100
2θ = 41.19°, 2.192 Å, rel. 99
2θ = 32.04°, 2.793 Å, rel. 89
2θ = 28.80°, 3.100 Å, rel. 41
2θ = 60.33°, 1.534 Å, rel. 36
2θ = 40.60°, 2.222 Å, rel. 36
2θ = 59.66°, 1.550 Å, rel. 32
2θ = 74.51°, 1.273 Å, rel. 32
2θ = 42.06°, 2.148 Å, rel. 28
2θ = 59.21°, 1.561 Å, rel. 23

Structural model:
```
Mo4Pd2S
1.0
-2.1918 2.1918 6.4455
2.1918 -2.1918 6.4455
2.1918 2.1918 -6.4455
Mo Pd S
4 2 1
Cartesian
2.1918 0.0000 0.0000 Mo
0.0000 0.0000 2.2385 Mo
0.0000 2.1918 0.0000 Mo
0.0000 0.0000 10.6524 Mo
0.0000 0.0000 4.7138 Pd
0.0000 0.0000 8.1771 Pd
0.0000 0.0000 0.0000 S
```


Simulated powder diffractogram
Compound: SiMoPd
Radiation: a wavelength of 1.5418 Å
Structure: a crystal structure in Alexandria, relaxed with GGA-PBE
Kinematic intensities with the Lorentz-polarization factor, no thermal factor.

Top 10 peaks for 2θ = 10–90°, by intensity:
2θ = 30.86°, 2.898 Å, rel. 100
2θ = 43.05°, 2.101 Å, rel. 65
2θ = 45.33°, 2.001 Å, rel. 60
2θ = 82.13°, 1.174 Å, rel. 20
2θ = 64.29°, 1.449 Å, rel. 19
2θ = 55.84°, 1.646 Å, rel. 18
2θ = 74.67°, 1.271 Å, rel. 15
2θ = 71.33°, 1.322 Å, rel. 15
2θ = 83.74°, 1.155 Å, rel. 10
2θ = 77.28°, 1.235 Å, rel. 9

Structural model:
```
SiMoPd
1.0
2.0005 1.1550 7.0472
-2.0005 1.1550 7.0472
0.0000 -2.3100 7.0472
Si Mo Pd
2 2 2
Cartesian
0.0000 0.0000 5.2012 Si
0.0000 0.0000 15.9403 Si
0.0000 0.0000 7.7732 Mo
0.0000 0.0000 13.3682 Mo
0.0000 0.0000 2.6851 Pd
0.0000 0.0000 18.4564 Pd
```


Simulated powder diffractogram
Compound: SnMoPd6
Radiation: a wavelength of 1.5418 Å
Structure: a crystal structure in Alexandria, relaxed with GGA-PBE
Kinematic intensities with the Lorentz-polarization factor, no thermal factor.

Top 10 peaks for 2θ = 10–90°, by intensity:
2θ = 39.07°, 2.305 Å, rel. 100
2θ = 45.55°, 1.992 Å, rel. 32
2θ = 79.80°, 1.202 Å, rel. 24
2θ = 66.11°, 1.413 Å, rel. 20
2θ = 45.20°, 2.006 Å, rel. 16
2θ = 79.30°, 1.208 Å, rel. 11
2θ = 83.95°, 1.153 Å, rel. 11
2θ = 66.38°, 1.408 Å, rel. 10
2θ = 67.12°, 1.394 Å, rel. 1
2θ = 33.50°, 2.675 Å, rel. 1

Structural model:
```
SnMoPd6
1.0
3.9833 0.0000 0.0000
0.0000 3.9833 0.0000
0.0000 0.0000 8.0250
Sn Mo Pd
1 1 6
Cartesian
0.0000 0.0000 0.0000 Sn
0.0000 0.0000 4.0125 Mo
0.0000 1.9916 2.0982 Pd
0.0000 1.9916 5.9269 Pd
1.9916 0.0000 2.0982 Pd
1.9916 0.0000 5.9269 Pd
1.9916 1.9916 0.0000 Pd
1.9916 1.9916 4.0125 Pd
```


Simulated powder diffractogram
Compound: Tc2Mo3Pd2
Radiation: a wavelength of 1.5418 Å
Structure: a crystal structure in Alexandria, relaxed with GGA-PBE
Kinematic intensities with the Lorentz-polarization factor, no thermal factor.

Top 10 peaks for 2θ = 10–90°, by intensity:
2θ = 39.76°, 2.267 Å, rel. 100
2θ = 39.88°, 2.261 Å, rel. 83
2θ = 42.61°, 2.122 Å, rel. 42
2θ = 44.33°, 2.043 Å, rel. 36
2θ = 76.10°, 1.251 Å, rel. 26
2θ = 63.17°, 1.472 Å, rel. 24
2θ = 83.35°, 1.159 Å, rel. 23
2θ = 51.62°, 1.771 Å, rel. 15
2θ = 78.42°, 1.219 Å, rel. 15
2θ = 69.09°, 1.360 Å, rel. 12

Structural model:
```
Tc2Mo3Pd2
1.0
2.1220 -9.3861 0.0000
2.1220 9.3861 0.0000
0.0000 0.0000 2.6985
Tc Mo Pd
2 3 2
Cartesian
2.1220 5.3715 0.0000 Tc
2.1220 -5.3715 0.0000 Tc
2.1220 2.8129 1.3493 Mo
2.1220 0.0000 1.3493 Mo
2.1220 -2.8129 1.3493 Mo
2.1220 8.0349 0.0000 Pd
2.1220 -8.0349 0.0000 Pd
```


Simulated powder diffractogram
Compound: Ti4MoPd
Radiation: a wavelength of 1.5418 Å
Structure: a crystal structure in Alexandria, relaxed with GGA-PBE
Kinematic intensities with the Lorentz-polarization factor, no thermal factor.

Top 10 peaks for 2θ = 10–90°, by intensity:
2θ = 39.98°, 2.255 Å, rel. 100
2θ = 40.16°, 2.245 Å, rel. 50
2θ = 72.86°, 1.298 Å, rel. 31
2θ = 18.47°, 4.804 Å, rel. 17
2θ = 29.63°, 3.015 Å, rel. 16
2θ = 58.10°, 1.588 Å, rel. 16
2θ = 72.50°, 1.304 Å, rel. 15
2θ = 86.28°, 1.127 Å, rel. 10
2θ = 57.56°, 1.601 Å, rel. 8
2θ = 44.54°, 2.034 Å, rel. 7

Structural model:
```
Ti4MoPd
1.0
3.1754 0.0000 0.0000
0.0000 3.1754 0.0000
0.0000 0.0000 9.6078
Ti Mo Pd
4 1 1
Cartesian
0.0000 0.0000 1.5137 Ti
0.0000 0.0000 8.0940 Ti
1.5877 1.5877 3.2112 Ti
1.5877 1.5877 6.3966 Ti
1.5877 1.5877 0.0000 Mo
0.0000 0.0000 4.8039 Pd
```


Please write out number 7 again, unchanged.
Simulated powder diffractogram
Compound: Tc2Mo3Pd2
Radiation: a wavelength of 1.5418 Å
Structure: a crystal structure in Alexandria, relaxed with GGA-PBE
Kinematic intensities with the Lorentz-polarization factor, no thermal factor.

Top 10 peaks for 2θ = 10–90°, by intensity:
2θ = 39.76°, 2.267 Å, rel. 100
2θ = 39.88°, 2.261 Å, rel. 83
2θ = 42.61°, 2.122 Å, rel. 42
2θ = 44.33°, 2.043 Å, rel. 36
2θ = 76.10°, 1.251 Å, rel. 26
2θ = 63.17°, 1.472 Å, rel. 24
2θ = 83.35°, 1.159 Å, rel. 23
2θ = 51.62°, 1.771 Å, rel. 15
2θ = 78.42°, 1.219 Å, rel. 15
2θ = 69.09°, 1.360 Å, rel. 12

Structural model:
```
Tc2Mo3Pd2
1.0
2.1220 -9.3861 0.0000
2.1220 9.3861 0.0000
0.0000 0.0000 2.6985
Tc Mo Pd
2 3 2
Cartesian
2.1220 5.3715 0.0000 Tc
2.1220 -5.3715 0.0000 Tc
2.1220 2.8129 1.3493 Mo
2.1220 0.0000 1.3493 Mo
2.1220 -2.8129 1.3493 Mo
2.1220 8.0349 0.0000 Pd
2.1220 -8.0349 0.0000 Pd
```


Question: Which formula does entry 4 have?
Answer: Mo4Pd2S